No. 1
# KMg6BO8
Computed powder XRD pattern, copper Kα. Input: a structure optimized by DFT (PBE).

Principal peaks in the range 2θ = 10–80°, most intense first:
- 2.244 Å, 2θ 40.18, I 100
- 1.546 Å, 2θ 59.82, I 34
- 1.587 Å, 2θ 58.12, I 28
- 2.133 Å, 2θ 42.38, I 27
- 2.546 Å, 2θ 35.24, I 18
- 1.273 Å, 2θ 74.53, I 16
- 2.402 Å, 2θ 37.44, I 14
- 8.531 Å, 2θ 10.37, I 8

Cell and atoms:
```
data_KMg6BO8
_cell_length_a 4.4889
_cell_length_b 4.4889
_cell_length_c 8.5310
_cell_angle_alpha 90.00
_cell_angle_beta 90.00
_cell_angle_gamma 90.00
_space_group_name_H-M_alt 'P 1'
_space_group_IT_number 1
_space_group_name_Hall 'P 1'
loop_
_atom_site_label
_atom_site_fract_x
_atom_site_fract_y
_atom_site_fract_z
K1 0.0000 0.0000 0.0000
Mg1 0.0000 0.0000 0.5000
Mg2 0.0000 0.5000 0.2296
Mg3 0.0000 0.5000 0.7704
Mg4 0.5000 0.0000 0.2296
Mg5 0.5000 0.0000 0.7704
Mg6 0.5000 0.5000 0.5000
B1 0.5000 0.5000 0.0000
O1 0.0000 0.0000 0.2755
O2 0.0000 0.0000 0.7245
O3 0.0000 0.5000 0.0000
O4 0.0000 0.5000 0.5000
O5 0.5000 0.0000 0.0000
O6 0.5000 0.0000 0.5000
O7 0.5000 0.5000 0.1721
O8 0.5000 0.5000 0.8279
```


No. 2
# KMg14BO15
Computed powder XRD pattern, copper Kα. Input: a structure optimized by DFT (PBE).

Principal peaks in the range 2θ = 10–80°, most intense first:
- 2.208 Å, 2θ 40.88, I 100
- 2.162 Å, 2θ 41.78, I 90
- 2.128 Å, 2θ 42.48, I 81
- 1.545 Å, 2θ 59.88, I 53
- 1.532 Å, 2θ 60.42, I 49
- 1.517 Å, 2θ 61.10, I 45
- 1.250 Å, 2θ 76.15, I 43
- 2.500 Å, 2θ 35.92, I 40

Cell and atoms:
```
data_KMg14BO15
_cell_length_a 4.4151
_cell_length_b 8.6488
_cell_length_c 8.5127
_cell_angle_alpha 90.00
_cell_angle_beta 90.00
_cell_angle_gamma 90.00
_space_group_name_H-M_alt 'P 1'
_space_group_IT_number 1
_space_group_name_Hall 'P 1'
loop_
_atom_site_label
_atom_site_fract_x
_atom_site_fract_y
_atom_site_fract_z
K1 0.0000 0.0000 0.0000
Mg1 0.0000 0.0000 0.4998
Mg2 0.0000 0.2414 0.2569
Mg3 0.0000 0.2427 0.7419
Mg4 0.0000 0.5000 0.9988
Mg5 0.0000 0.7573 0.7419
Mg6 0.0000 0.7586 0.2569
Mg7 0.5000 0.0000 0.2511
Mg8 0.5000 0.0000 0.7488
Mg9 0.5000 0.2518 0.0007
Mg10 0.5000 0.2524 0.4996
Mg11 0.5000 0.5000 0.2603
Mg12 0.5000 0.5000 0.7344
Mg13 0.5000 0.7482 0.0007
Mg14 0.5000 0.7476 0.4996
B1 0.0000 0.5000 0.4830
O1 0.0000 0.0000 0.2744
O2 0.0000 0.0000 0.7255
O3 0.0000 0.2538 0.4998
O4 0.0000 0.2799 0.0023
O5 0.0000 0.5000 0.3162
O6 0.0000 0.7201 0.0023
O7 0.0000 0.7462 0.4998
O8 0.5000 0.0000 0.5008
O9 0.5000 0.0000 0.9978
O10 0.5000 0.2536 0.2508
O11 0.5000 0.2568 0.7494
O12 0.5000 0.5000 0.0063
O13 0.5000 0.5000 0.4984
O14 0.5000 0.7432 0.7494
O15 0.5000 0.7464 0.2508
```


No. 3
# KMg6BO7
Computed powder XRD pattern, copper Kα. Input: a structure optimized by DFT (PBE).

Principal peaks in the range 2θ = 10–80°, most intense first:
- 2.245 Å, 2θ 40.17, I 100
- 1.555 Å, 2θ 59.42, I 44
- 2.157 Å, 2θ 41.88, I 36
- 1.587 Å, 2θ 58.11, I 29
- 2.557 Å, 2θ 35.09, I 25
- 1.279 Å, 2θ 74.17, I 21
- 4.490 Å, 2θ 19.77, I 17
- 2.422 Å, 2θ 37.12, I 10

Cell and atoms:
```
data_KMg6BO7
_cell_length_a 4.4899
_cell_length_b 4.4899
_cell_length_c 8.6281
_cell_angle_alpha 90.00
_cell_angle_beta 90.00
_cell_angle_gamma 90.00
_space_group_name_H-M_alt 'P 1'
_space_group_IT_number 1
_space_group_name_Hall 'P 1'
loop_
_atom_site_label
_atom_site_fract_x
_atom_site_fract_y
_atom_site_fract_z
K1 0.0000 0.0000 0.0000
Mg1 0.0000 0.0000 0.5003
Mg2 0.0000 0.5000 0.2310
Mg3 0.0000 0.5000 0.7577
Mg4 0.5000 0.0000 0.2310
Mg5 0.5000 0.0000 0.7577
Mg6 0.5000 0.5000 0.4911
B1 0.5000 0.5000 0.9634
O1 0.0000 0.0000 0.2749
O2 0.0000 0.0000 0.7248
O3 0.0000 0.5000 0.5050
O4 0.0000 0.5000 0.9947
O5 0.5000 0.0000 0.5050
O6 0.5000 0.0000 0.9947
O7 0.5000 0.5000 0.8016
```